Structure and theoretical XRD peak list of Ho3Er3Sc5 (a structure optimized by DFT (PBE); Cu Kα X-rays).
Peak positions follow from Bragg's law for the DFT cell and can differ from measured ones.

Peak list (10 most intense, 15° ≤ 2θ ≤ 90°, low angle first)
4.510 Å, rel. 36.2
3.906 Å, rel. 22.0
3.449 Å, rel. 100.0
2.676 Å, rel. 30.2
2.604 Å, rel. 32.4
2.585 Å, rel. 54.5
2.078 Å, rel. 16.9
2.008 Å, rel. 40.5
1.866 Å, rel. 24.0
1.423 Å, rel. 16.5

Crystal structure
Cell: 9.0203 9.0203 5.3530 Å, 90.00 90.00 120.00°
Fractional positions:
Ho 0.0000 0.3796 0.0000
Ho 0.3796 0.0000 0.0000
Ho 0.6204 0.6204 0.0000
Er 0.0000 0.5975 0.5000
Er 0.4025 0.4025 0.5000
Er 0.5975 0.0000 0.5000
Sc 0.0000 0.7551 0.0000
Sc 0.2449 0.2449 0.0000
Sc 0.3333 0.6667 0.0000
Sc 0.6667 0.3333 0.0000
Sc 0.7551 0.0000 0.0000

Structure and theoretical XRD peak list of Ho3Er4Sc3 (a structure optimized by DFT (PBE); Cu Kα X-rays).
Peak positions follow from Bragg's law for the DFT cell and can differ from measured ones.

Peak list (10 most intense, 15° ≤ 2θ ≤ 90°, low angle first)
3.593 Å, rel. 49.0
2.852 Å, rel. 78.0
2.838 Å, rel. 76.1
2.807 Å, rel. 47.8
2.684 Å, rel. 100.0
2.676 Å, rel. 90.2
2.234 Å, rel. 34.8
2.227 Å, rel. 30.6
1.585 Å, rel. 38.0
1.519 Å, rel. 61.5

Crystal structure
Cell: 3.5926 8.9959 8.9959 Å, 89.52 90.00 90.00°
Fractional positions:
Ho 0.0000 0.0000 0.0000
Ho 0.5000 0.3321 0.8287
Ho 0.5000 0.8287 0.3321
Er 0.5000 0.2071 0.2071
Er 0.5000 0.4604 0.4604
Er 0.5000 0.6946 0.9551
Er 0.5000 0.9551 0.6946
Sc 0.0000 0.1624 0.5009
Sc 0.0000 0.5009 0.1624
Sc 0.0000 0.6598 0.6598

Structure and theoretical XRD peak list of HoEr3Sc4 (a structure optimized by DFT (PBE); Cu Kα X-rays).
Peak positions follow from Bragg's law for the DFT cell and can differ from measured ones.

Peak list (10 most intense, 15° ≤ 2θ ≤ 90°, low angle first)
3.456 Å, rel. 27.8
2.990 Å, rel. 24.2
2.681 Å, rel. 24.1
2.611 Å, rel. 100.0
1.996 Å, rel. 18.1
1.726 Å, rel. 23.4
1.534 Å, rel. 19.2
1.451 Å, rel. 20.9
1.440 Å, rel. 15.1
1.106 Å, rel. 12.9

Crystal structure
Cell: 10.7230 6.9029 5.9823 Å, 90.00 90.00 90.00°
Fractional positions:
Ho 0.0000 0.1330 0.0000
Ho 0.5000 0.8670 0.5000
Er 0.0000 0.8675 0.4998
Er 0.2501 0.1328 0.3411
Er 0.2499 0.8672 0.8411
Er 0.5000 0.1325 0.9998
Er 0.7499 0.1328 0.3411
Er 0.7501 0.8672 0.8411
Sc 0.0000 0.3822 0.5070
Sc 0.0000 0.6183 0.0068
Sc 0.2503 0.3819 0.8341
Sc 0.2497 0.6181 0.3341
Sc 0.5000 0.3817 0.5068
Sc 0.5000 0.6178 0.0070
Sc 0.7497 0.3819 0.8341
Sc 0.7503 0.6181 0.3341

Structure and theoretical XRD peak list of Ho8Er5Sc (a structure optimized by DFT (PBE); Cu Kα X-rays).
Peak positions follow from Bragg's law for the DFT cell and can differ from measured ones.

Peak list (10 most intense, 15° ≤ 2θ ≤ 90°, low angle first)
3.168 Å, rel. 15.1
2.818 Å, rel. 64.7
2.763 Å, rel. 33.7
2.755 Å, rel. 100.0
2.687 Å, rel. 89.9
1.877 Å, rel. 17.9
1.629 Å, rel. 19.8
1.614 Å, rel. 14.3
1.587 Å, rel. 16.5
1.562 Å, rel. 17.8

Crystal structure
Cell: 8.3401 8.3446 8.4814 Å, 118.33 114.96 95.07°
Fractional positions:
Ho 0.0000 0.0000 0.0000
Ho 0.0409 0.8666 0.5739
Ho 0.1311 0.7169 0.1838
Ho 0.3714 0.1974 0.5726
Ho 0.4536 0.0069 0.1147
Ho 0.6946 0.4888 0.5178
Ho 0.7767 0.3300 0.1195
Ho 0.8717 0.2873 0.7748
Er 0.1534 0.5666 0.7742
Er 0.2795 0.5335 0.4646
Er 0.3383 0.3692 0.0421
Er 0.5959 0.8499 0.4605
Er 0.6638 0.6638 0.9990
Sc 0.9120 0.1344 0.3831